# 1
The following is a calculated PXRD pattern of K2LiS2O4F2. It was derived from a crystal structure in the Materials Project, relaxed with GGA-PBE, using Cu Kα, 1.54184 Å.

The 10 most intense peaks (2θ = 10–80°), in order of falling intensity:
d 4.248, 20.91°, I 100.0, (1 1 1); d 4.922, 18.02°, I 90.0, (1 0 0); d 2.993, 29.86°, I 87.2, (0 1 2); d 3.091, 28.89°, I 78.7, (0 1 -2); d 3.256, 27.39°, I 77.7, (1 -1 1); d 3.171, 28.14°, I 53.3, (1 1 2); d 2.655, 33.76°, I 52.3, (2 1 1); d 3.607, 24.69°, I 50.6, (1 0 -1); d 4.565, 19.45°, I 47.8, (0 1 -1); d 2.026, 44.73°, I 42.7, (2 0 3)

Cell and atoms:
```
data_K2LiS2O4F2
_chemical_formula_sum 'K2 Li1 S2 O4 F2'
_cell_length_a 5.387
_cell_length_b 6.034
_cell_length_c 7.486
_cell_angle_alpha 86.90
_cell_angle_beta 73.31
_cell_angle_gamma 72.39
_space_group_name_H-M_alt 'P 1'
_space_group_IT_number 1
loop_
_space_group_symop_operation_xyz
'x,y,z'
loop_
_atom_site_label
_atom_site_fract_x
_atom_site_fract_y
_atom_site_fract_z
_atom_site_occupancy
K1 0.000 0.000 0.000 1
K2 0.494 0.692 0.271 1
Li1 0.446 0.282 0.881 1
S1 0.827 0.055 0.502 1
S2 0.906 0.540 0.776 1
O1 0.129 0.551 0.861 1
O2 0.542 0.131 0.619 1
O3 0.705 0.435 0.915 1
O4 0.880 0.862 0.368 1
F1 0.462 0.033 0.037 1
F2 0.822 0.287 0.341 1
```

***

# 2
The following is a calculated PXRD pattern of RbBiF4. It was derived from a crystal structure in the Materials Project, relaxed with GGA-PBE, using Cu Kα, 1.54184 Å.

The 10 most intense peaks (2θ = 10–80°), in order of falling intensity:
d 3.485, 25.56°, I 100.0, (2 2 2); d 2.134, 42.35°, I 57.6, (4 4 0); d 1.820, 50.12°, I 49.0, (6 2 2); d 3.018, 29.60°, I 29.1, (4 0 0); d 6.970, 12.70°, I 26.8, (1 1 1); d 1.385, 67.66°, I 20.3, (6 6 2); d 1.232, 77.47°, I 16.7, (8 4 4); d 3.640, 24.46°, I 14.7, (3 1 1); d 1.350, 69.67°, I 14.6, (8 4 0); d 1.742, 52.52°, I 10.0, (4 4 4)

Cell and atoms:
Unit cell a=12.072 b=12.072 c=12.072 alpha=90.00 beta=90.00 gamma=90.00
Space group Fd-3m (No. 227, origin choice 2)
Symmetry-distinct sites (fractional):
Rb 0.000 0.000 0.000 [16 per cell]
Bi 0.000 0.000 0.500 [16 per cell]
F 0.088 0.375 0.875 [48 per cell]
F 0.125 0.125 0.125 [8 per cell]
F 0.125 0.125 0.625 [8 per cell]

***

# 3
The following is a calculated PXRD pattern of SiGe. It was derived from a crystal structure in the Materials Project, relaxed with GGA-PBE, using Cu Kα, 1.54184 Å.

The 8 most intense peaks (2θ = 10–80°), in order of falling intensity:
d 3.229, 27.62°, I 100.0, (1 1 1); d 1.977, 45.89°, I 60.5, (2 2 0); d 1.686, 54.41°, I 43.7, (3 1 1); d 1.283, 73.86°, I 17.3, (3 3 1); d 2.797, 32.00°, I 16.9, (2 0 0); d 1.398, 66.92°, I 9.6, (4 0 0); d 1.251, 76.11°, I 5.4, (4 2 0); d 1.615, 57.04°, I 4.4, (2 2 2)

Cell and atoms:
```
data_SiGe
_chemical_formula_sum 'Si4 Ge4'
_cell_length_a 5.593
_cell_length_b 5.593
_cell_length_c 5.593
_cell_angle_alpha 90.00
_cell_angle_beta 90.00
_cell_angle_gamma 90.00
_space_group_name_H-M_alt 'F -4 3 m'
_space_group_IT_number 216
_space_group_name_Hall 'F -4 2 3'
loop_
_atom_site_label
_atom_site_fract_x
_atom_site_fract_y
_atom_site_fract_z
_atom_site_occupancy
Si1 0.000 0.000 0.000 1
Ge1 0.250 0.250 0.750 1
```

***

# 4
The following is a calculated PXRD pattern of BaLiYCu2O5. It was derived from a crystal structure in the Materials Project, relaxed with GGA-PBE, using Cu Kα, 1.54184 Å.

The 10 most intense peaks (2θ = 10–80°), in order of falling intensity:
d 2.811, 31.83°, I 100.0, (1 1 2); d 2.003, 45.26°, I 25.6, (2 2 0); d 2.780, 32.20°, I 22.4, (0 2 0); d 1.611, 57.19°, I 18.3, (1 3 2); d 2.890, 30.94°, I 16.9, (2 0 0); d 1.609, 57.27°, I 12.8, (0 2 4); d 2.714, 33.01°, I 12.1, (2 0 1); d 1.972, 46.01°, I 10.9, (0 0 4); d 3.573, 24.92°, I 7.4, (1 1 1); d 1.942, 46.78°, I 7.3, (2 2 1)

Cell and atoms:
```
data_BaLiYCu2O5
_chemical_formula_sum 'Ba2 Li2 Y2 Cu4 O10'
_cell_length_a 5.781
_cell_length_b 5.559
_cell_length_c 7.890
_cell_angle_alpha 90.00
_cell_angle_beta 90.19
_cell_angle_gamma 90.00
_space_group_name_H-M_alt 'C 1 m 1'
_space_group_IT_number 8
loop_
_space_group_symop_operation_xyz
'x,y,z'
'x,-y,z'
'x+1/2,y+1/2,z'
'x+1/2,-y+1/2,z'
loop_
_atom_site_label
_atom_site_fract_x
_atom_site_fract_y
_atom_site_fract_z
_atom_site_occupancy
Ba1 0.000 0.000 0.000 1
Li1 0.315 0.000 0.499 1
Y1 0.398 0.500 0.500 1
Cu1 0.489 0.000 0.249 1
Cu2 0.489 0.000 0.750 1
O1 0.218 0.239 0.322 1
O2 0.218 0.239 0.678 1
O3 0.476 0.000 0.000 1
```

***

# 5
The following is a calculated PXRD pattern of AlFe3H. It was derived from a crystal structure in the Materials Project, relaxed with GGA-PBE, using Cu Kα, 1.54184 Å.

The 8 most intense peaks (2θ = 10–80°), in order of falling intensity:
d 2.126, 42.52°, I 100.0, (1 1 1); d 1.841, 49.50°, I 47.7, (2 0 0); d 1.302, 72.61°, I 27.5, (2 2 0); d 3.683, 24.17°, I 9.8, (1 0 0); d 2.604, 34.44°, I 6.3, (1 1 0); d 1.647, 55.82°, I 3.1, (2 1 0); d 1.503, 61.70°, I 2.0, (2 1 1); d 1.228, 77.81°, I 1.2, (3 0 0)

Cell and atoms:
```
data_AlFe3H
_chemical_formula_sum 'Al1 Fe3 H1'
_cell_length_a 3.683
_cell_length_b 3.683
_cell_length_c 3.683
_cell_angle_alpha 90.00
_cell_angle_beta 90.00
_cell_angle_gamma 90.00
_space_group_name_H-M_alt 'P m -3 m'
_space_group_IT_number 221
_space_group_name_Hall '-P 4 2 3'
loop_
_atom_site_label
_atom_site_fract_x
_atom_site_fract_y
_atom_site_fract_z
_atom_site_occupancy
Al1 0.000 0.000 0.000 1
Fe1 0.000 0.500 0.500 1
H1 0.500 0.500 0.500 1
```

***

# 6
The following is a calculated PXRD pattern of Mg6BSbO8. It was derived from a crystal structure in the Materials Project, relaxed with GGA-PBE, using Cu Kα, 1.54184 Å.

The 10 most intense peaks (2θ = 10–80°), in order of falling intensity:
d 2.196, 41.10°, I 100.0, (2 0 0); d 3.943, 22.55°, I 69.7, (1 0 1); d 1.567, 58.92°, I 55.2, (2 0 4); d 2.238, 40.30°, I 48.5, (0 0 4); d 2.934, 30.47°, I 43.6, (1 1 1); d 1.552, 59.55°, I 41.8, (2 2 0); d 2.552, 35.17°, I 39.2, (1 1 2); d 1.276, 74.35°, I 25.3, (2 2 4); d 2.468, 36.40°, I 23.3, (1 0 3); d 4.392, 20.22°, I 22.9, (1 0 0)

Cell and atoms:
```
data_Mg6BSbO8
_chemical_formula_sum 'Mg6 B1 Sb1 O8'
_cell_length_a 4.392
_cell_length_b 4.392
_cell_length_c 8.952
_cell_angle_alpha 90.00
_cell_angle_beta 90.00
_cell_angle_gamma 90.00
_space_group_name_H-M_alt 'P 4/m m m'
_space_group_IT_number 123
_space_group_name_Hall '-P 4 2'
loop_
_atom_site_label
_atom_site_fract_x
_atom_site_fract_y
_atom_site_fract_z
_atom_site_occupancy
Mg1 0.000 0.000 0.000 1
Mg2 0.000 0.000 0.500 1
Mg3 0.000 0.500 0.226 1
B1 0.500 0.500 0.000 1
Sb1 0.500 0.500 0.500 1
O1 0.000 0.000 0.251 1
O2 0.000 0.500 0.000 1
O3 0.000 0.500 0.500 1
O4 0.500 0.500 0.243 1
```

***

# 7
The following is a calculated PXRD pattern of TbNdFe4. It was derived from a crystal structure in the Materials Project, relaxed with GGA-PBE, using Cu Kα, 1.54184 Å.

The 10 most intense peaks (2θ = 10–80°), in order of falling intensity:
d 2.226, 40.52°, I 100.0, (3 1 1); d 2.611, 34.35°, I 65.5, (2 2 0); d 1.421, 65.70°, I 30.6, (5 1 1); d 1.507, 61.52°, I 24.4, (4 2 2); d 1.305, 72.40°, I 22.2, (4 4 0); d 2.132, 42.40°, I 14.6, (2 2 2); d 4.263, 20.84°, I 14.4, (1 1 1); d 1.694, 54.14°, I 4.0, (3 3 1); d 1.248, 76.29°, I 3.2, (5 3 1); d 1.846, 49.37°, I 0.7, (4 0 0)

Cell and atoms:
```
data_TbNdFe4
_chemical_formula_sum 'Tb4 Nd4 Fe16'
_cell_length_a 7.384
_cell_length_b 7.384
_cell_length_c 7.384
_cell_angle_alpha 90.00
_cell_angle_beta 90.00
_cell_angle_gamma 90.00
_space_group_name_H-M_alt 'F -4 3 m'
_space_group_IT_number 216
_space_group_name_Hall 'F -4 2 3'
loop_
_atom_site_label
_atom_site_fract_x
_atom_site_fract_y
_atom_site_fract_z
_atom_site_occupancy
Tb1 0.000 0.000 0.000 1
Nd1 0.250 0.250 0.750 1
Fe1 0.125 0.125 0.375 1
```

***

# 8
The following is a calculated PXRD pattern of Ce2Ni5B4. It was derived from a crystal structure in the Materials Project, relaxed with GGA-PBE, using Cu Kα, 1.54184 Å.

The 10 most intense peaks (2θ = 10–80°), in order of falling intensity:
d 2.718, 32.95°, I 100.0, (3 1 -1); d 2.305, 39.08°, I 82.1, (0 2 1); d 2.196, 41.11°, I 80.8, (2 0 -3); d 2.015, 44.99°, I 76.9, (2 2 -2); d 2.949, 30.31°, I 76.5, (1 1 1); d 2.142, 42.19°, I 59.9, (2 2 0); d 2.575, 34.84°, I 59.3, (2 0 1); d 2.527, 35.52°, I 55.9, (3 1 -2); d 4.030, 22.06°, I 51.6, (1 1 -1); d 2.029, 44.67°, I 47.8, (1 1 2)

Cell and atoms:
```
data_Ce2Ni5B4
_chemical_formula_sum 'Ce4 Ni10 B8'
_cell_length_a 9.703
_cell_length_b 5.090
_cell_length_c 6.656
_cell_angle_alpha 90.00
_cell_angle_beta 125.18
_cell_angle_gamma 90.00
_space_group_name_H-M_alt 'C 1 2/m 1'
_space_group_IT_number 12
loop_
_space_group_symop_operation_xyz
'x,y,z'
'-x,-y,-z'
'-x,y,-z'
'x,-y,z'
'x+1/2,y+1/2,z'
'-x+1/2,-y+1/2,-z'
'-x+1/2,y+1/2,-z'
'x+1/2,-y+1/2,z'
loop_
_atom_site_label
_atom_site_fract_x
_atom_site_fract_y
_atom_site_fract_z
_atom_site_occupancy
Ce1 0.229 0.000 0.153 1
Ni1 0.000 0.500 0.000 1
Ni2 0.075 0.245 0.370 1
B1 0.100 0.000 0.645 1
B2 0.221 0.500 0.338 1
```

***

# 9
The following is a calculated PXRD pattern of LiZn3. It was derived from a crystal structure in the Materials Project, relaxed with GGA-PBE, using Cu Kα, 1.54184 Å.

The 10 most intense peaks (2θ = 10–80°), in order of falling intensity:
d 2.106, 42.95°, I 100.0, (2 0 1); d 3.253, 27.42°, I 32.3, (1 0 1); d 2.218, 40.69°, I 26.1, (0 0 2); d 2.392, 37.60°, I 24.5, (2 0 0); d 1.258, 75.61°, I 17.0, (2 0 3); d 1.381, 67.85°, I 15.8, (2 2 0); d 1.626, 56.59°, I 14.2, (2 0 2); d 2.763, 32.41°, I 13.5, (1 1 0); d 4.785, 18.54°, I 11.9, (1 0 0); d 1.675, 54.82°, I 8.0, (2 1 1)

Cell and atoms:
```
data_LiZn3
_chemical_formula_sum 'Li2 Zn6'
_cell_length_a 5.5250
_cell_length_b 5.5250
_cell_length_c 4.4351
_cell_angle_alpha 90.00
_cell_angle_beta 90.00
_cell_angle_gamma 120.00
_space_group_name_H-M_alt 'P 63/m m c'
_space_group_IT_number 194
_space_group_name_Hall '-P 6c 2c'
loop_
_atom_site_label
_atom_site_fract_x
_atom_site_fract_y
_atom_site_fract_z
_atom_site_occupancy
Li1 0.3333 0.6667 0.2500 1
Zn1 0.1678 0.3356 0.7500 1
```

***

Copy entry 5 word for word.
The following is a calculated PXRD pattern of AlFe3H. It was derived from a crystal structure in the Materials Project, relaxed with GGA-PBE, using Cu Kα, 1.54184 Å.

The 8 most intense peaks (2θ = 10–80°), in order of falling intensity:
d 2.126, 42.52°, I 100.0, (1 1 1); d 1.841, 49.50°, I 47.7, (2 0 0); d 1.302, 72.61°, I 27.5, (2 2 0); d 3.683, 24.17°, I 9.8, (1 0 0); d 2.604, 34.44°, I 6.3, (1 1 0); d 1.647, 55.82°, I 3.1, (2 1 0); d 1.503, 61.70°, I 2.0, (2 1 1); d 1.228, 77.81°, I 1.2, (3 0 0)

Cell and atoms:
```
data_AlFe3H
_chemical_formula_sum 'Al1 Fe3 H1'
_cell_length_a 3.683
_cell_length_b 3.683
_cell_length_c 3.683
_cell_angle_alpha 90.00
_cell_angle_beta 90.00
_cell_angle_gamma 90.00
_space_group_name_H-M_alt 'P m -3 m'
_space_group_IT_number 221
_space_group_name_Hall '-P 4 2 3'
loop_
_atom_site_label
_atom_site_fract_x
_atom_site_fract_y
_atom_site_fract_z
_atom_site_occupancy
Al1 0.000 0.000 0.000 1
Fe1 0.000 0.500 0.500 1
H1 0.500 0.500 0.500 1
```